For NdSeS2, the GGA-PBE geometry in Alexandria gives the theoretical powder XRD pattern in this record (Cu Kα, 1.54184 Å).
Neutral-atom scattering factors, no anomalous dispersion.

Most intense lines, 10 to 80 degrees two-theta, in order of rising 2θ:
d/Å  Rel. int.
3.986  54
3.092  52
2.946  100
2.607  40
2.599  49
2.234  65
2.186  67
2.120  37

Structure:
```
data_NdSeS2
_chemical_formula_sum 'Nd2 Se2 S4'
_cell_length_a 4.372
_cell_length_b 4.372
_cell_length_c 9.698
_cell_angle_alpha 90.00
_cell_angle_beta 90.00
_cell_angle_gamma 90.00
_symmetry_space_group_name_H-M 'P 4/n m m'
_symmetry_Int_Tables_number 129
loop_
_symmetry_equiv_pos_as_xyz
'x,y,z'
'-x,-y,-z'
'-y+1/2,x,z'
'y+1/2,-x,-z'
'-x+1/2,-y+1/2,z'
'x+1/2,y+1/2,-z'
'y,-x+1/2,z'
'-y,x+1/2,-z'
'x+1/2,-y,-z'
'-x+1/2,y,z'
'-y,-x,-z'
'y,x,z'
'-x,y+1/2,-z'
'x,-y+1/2,z'
'y+1/2,x+1/2,-z'
'-y+1/2,-x+1/2,z'
loop_
_atom_site_label
_atom_site_type_symbol
_atom_site_fract_x
_atom_site_fract_y
_atom_site_fract_z
_atom_site_occupancy
Nd1 Nd 0.250 0.250 0.194 1
Se1 Se 0.250 0.250 0.883 1
S1 S 0.250 0.750 0.399 1
```